(1)
Starting from the GGA-PBE geometry in Alexandria, the PXRD pattern of Pm2Pr5In was computed for λ = 1.5418 Å (Cu Kα).

Top 12 peaks for 10° ≤ 2θ ≤ 90°, by angle:
d = 2.956 Å, 30.23°, I = 100
d = 2.621 Å, 34.21°, I = 18
d = 2.531 Å, 35.46°, I = 33
d = 1.821 Å, 50.10°, I = 24
d = 1.790 Å, 51.02°, I = 12
d = 1.570 Å, 58.80°, I = 15
d = 1.531 Å, 60.46°, I = 28
d = 1.478 Å, 62.87°, I = 12
d = 1.180 Å, 81.54°, I = 11
d = 1.164 Å, 82.98°, I = 11
d = 1.140 Å, 85.12°, I = 5
d = 1.132 Å, 85.84°, I = 5

Cell and atoms:
abc: 11.0795 11.0795 11.0795
angles: 153.59 153.59 37.70
Sites, in units of the cell vectors:
Pm  0.2484  0.2484  0.0000
Pm  0.7516  0.7516  0.0000
Pr  0.0000  0.0000  0.0000
Pr  0.1214  0.6214  0.5000
Pr  0.3786  0.8786  0.5000
Pr  0.6214  0.1214  0.5000
Pr  0.8786  0.3786  0.5000
In  0.5000  0.5000  0.0000

---

(2)
Starting from the GGA-PBE geometry in Alexandria, the PXRD pattern of Na2Ti2NiS6 was computed for λ = 1.5418 Å (Cu Kα).

Top 12 peaks for 10° ≤ 2θ ≤ 90°, by angle:
d = 6.787 Å, 13.05°, I = 77
d = 2.995 Å, 29.83°, I = 8
d = 2.602 Å, 34.47°, I = 100
d = 2.097 Å, 43.13°, I = 19
d = 1.950 Å, 46.58°, I = 21
d = 1.944 Å, 46.72°, I = 10
d = 1.752 Å, 52.20°, I = 10
d = 1.746 Å, 52.41°, I = 20
d = 1.697 Å, 54.05°, I = 7
d = 1.690 Å, 54.26°, I = 8
d = 1.453 Å, 64.09°, I = 9
d = 1.115 Å, 87.46°, I = 8

Cell and atoms:
abc: 6.0626 6.0626 7.0826
angles: 98.19 98.19 120.24
Sites, in units of the cell vectors:
Na  0.1661  0.8339  0.0000
Na  0.8339  0.1661  0.0000
Ti  0.3329  0.6671  0.5000
Ti  0.6671  0.3329  0.5000
Ni  0.0000  0.0000  0.5000
S  0.0678  0.3986  0.7014
S  0.2629  0.2629  0.2998
S  0.3986  0.0678  0.7014
S  0.6014  0.9322  0.2986
S  0.7371  0.7371  0.7002
S  0.9322  0.6014  0.2986

---

(3)
Starting from the GGA-PBE geometry in Alexandria, the PXRD pattern of LaPr2NdTl2 was computed for λ = 1.5418 Å (Cu Kα).

Top 12 peaks for 10° ≤ 2θ ≤ 90°, by angle:
d = 3.491 Å, 25.52°, I = 10
d = 2.936 Å, 30.44°, I = 19
d = 2.891 Å, 30.93°, I = 100
d = 2.823 Å, 31.70°, I = 68
d = 2.714 Å, 33.00°, I = 42
d = 2.672 Å, 33.54°, I = 10
d = 2.227 Å, 40.50°, I = 15
d = 2.066 Å, 43.81°, I = 11
d = 1.977 Å, 45.91°, I = 16
d = 1.644 Å, 55.95°, I = 16
d = 1.599 Å, 57.64°, I = 13
d = 1.587 Å, 58.12°, I = 17

Cell and atoms:
abc: 5.4280 10.2539 6.9820
angles: 90.00 90.00 90.00
Sites, in units of the cell vectors:
La  0.0000  0.0407  0.0000
La  0.0000  0.9593  0.5000
Pr  0.0000  0.3244  0.3337
Pr  0.0000  0.6756  0.8337
Pr  0.5000  0.4590  0.0569
Pr  0.5000  0.5410  0.5569
Nd  0.5000  0.1781  0.7270
Nd  0.5000  0.8220  0.2270
Tl  0.0000  0.3541  0.8087
Tl  0.0000  0.6459  0.3087
Tl  0.5000  0.1448  0.2527
Tl  0.5000  0.8552  0.7527

---

(4)
Starting from the GGA-PBE geometry in Alexandria, the PXRD pattern of KNp4S8 was computed for λ = 1.5418 Å (Cu Kα).

Top 12 peaks for 10° ≤ 2θ ≤ 90°, by angle:
d = 7.798 Å, 11.35°, I = 100
d = 3.899 Å, 22.81°, I = 12
d = 3.469 Å, 25.68°, I = 32
d = 3.179 Å, 28.07°, I = 23
d = 3.162 Å, 28.22°, I = 31
d = 2.602 Å, 34.47°, I = 24
d = 2.585 Å, 34.70°, I = 21
d = 2.086 Å, 43.38°, I = 8
d = 2.075 Å, 43.63°, I = 7
d = 2.003 Å, 45.28°, I = 15
d = 1.942 Å, 46.77°, I = 13
d = 1.696 Å, 54.09°, I = 8

Cell and atoms:
abc: 8.0082 8.0082 10.3767
angles: 124.83 124.83 60.06
Sites, in units of the cell vectors:
K  0.0000  0.0000  0.0000
Np  0.2518  0.7482  0.5000
Np  0.2604  0.2604  0.5197
Np  0.7396  0.7396  0.4803
Np  0.7482  0.2518  0.5000
S  0.0035  0.0035  0.3293
S  0.0059  0.4828  0.3214
S  0.4828  0.0059  0.3214
S  0.4894  0.4894  0.3166
S  0.5106  0.5106  0.6834
S  0.5172  0.9941  0.6786
S  0.9941  0.5172  0.6786
S  0.9965  0.9965  0.6707

---

(5)
Starting from the GGA-PBE geometry in Alexandria, the PXRD pattern of Y4Ho5Zr was computed for λ = 1.5418 Å (Cu Kα).

Top 12 peaks for 10° ≤ 2θ ≤ 90°, by angle:
d = 2.861 Å, 31.27°, I = 100
d = 2.482 Å, 36.19°, I = 17
d = 2.475 Å, 36.29°, I = 33
d = 1.752 Å, 52.20°, I = 29
d = 1.750 Å, 52.27°, I = 6
d = 1.496 Å, 62.03°, I = 10
d = 1.494 Å, 62.14°, I = 17
d = 1.493 Å, 62.19°, I = 14
d = 1.430 Å, 65.22°, I = 12
d = 1.137 Å, 85.34°, I = 9
d = 1.136 Å, 85.46°, I = 8
d = 1.107 Å, 88.23°, I = 8

Cell and atoms:
abc: 6.0781 3.5005 14.4436
angles: 90.00 98.18 90.00
Sites, in units of the cell vectors:
Y  0.0978  0.0000  0.3086
Y  0.3944  0.5000  0.6960
Y  0.6056  0.5000  0.3040
Y  0.9022  0.0000  0.6914
Ho  0.1997  0.5000  0.0998
Ho  0.2997  0.0000  0.9001
Ho  0.5000  0.0000  0.5000
Ho  0.7003  0.0000  0.0999
Ho  0.8003  0.5000  0.9002
Zr  0.0000  0.5000  0.5000

---

(6)
Starting from the GGA-PBE geometry in Alexandria, the PXRD pattern of PmNd4Dy2Ho was computed for λ = 1.5418 Å (Cu Kα).

Top 12 peaks for 10° ≤ 2θ ≤ 90°, by angle:
d = 2.961 Å, 30.19°, I = 100
d = 2.941 Å, 30.39°, I = 33
d = 2.563 Å, 35.01°, I = 45
d = 2.553 Å, 35.15°, I = 22
d = 1.818 Å, 50.18°, I = 8
d = 1.813 Å, 50.33°, I = 16
d = 1.805 Å, 50.55°, I = 24
d = 1.549 Å, 59.70°, I = 10
d = 1.546 Å, 59.84°, I = 19
d = 1.542 Å, 59.98°, I = 14
d = 1.540 Å, 60.08°, I = 9
d = 1.480 Å, 62.77°, I = 12

Cell and atoms:
abc: 6.2744 3.6357 11.9541
angles: 90.00 100.24 90.00
Sites, in units of the cell vectors:
Pm  0.0000  0.0000  0.0000
Nd  0.2503  0.5000  0.2522
Nd  0.2506  0.0000  0.7488
Nd  0.7494  0.0000  0.2512
Nd  0.7497  0.5000  0.7478
Dy  0.5000  0.0000  0.5000
Dy  0.5000  0.5000  0.0000
Ho  0.0000  0.5000  0.5000

---

(7)
Starting from the GGA-PBE geometry in Alexandria, the PXRD pattern of Pr4NiRh was computed for λ = 1.5418 Å (Cu Kα).

Top 12 peaks for 10° ≤ 2θ ≤ 90°, by angle:
d = 3.534 Å, 25.20°, I = 13
d = 3.267 Å, 27.30°, I = 19
d = 2.845 Å, 31.44°, I = 100
d = 2.735 Å, 32.75°, I = 21
d = 2.499 Å, 35.94°, I = 22
d = 2.399 Å, 37.49°, I = 64
d = 2.235 Å, 40.35°, I = 26
d = 1.793 Å, 50.92°, I = 26
d = 1.658 Å, 55.41°, I = 36
d = 1.484 Å, 62.60°, I = 24
d = 1.347 Å, 69.82°, I = 18
d = 1.212 Å, 78.99°, I = 10

Cell and atoms:
abc: 7.0679 7.0679 6.5341
angles: 90.00 90.00 90.00
Sites, in units of the cell vectors:
Pr  0.1825  0.3154  0.0000
Pr  0.1825  0.6846  0.5000
Pr  0.3154  0.1825  0.5000
Pr  0.3154  0.8175  0.0000
Pr  0.6846  0.1825  0.0000
Pr  0.6846  0.8175  0.5000
Pr  0.8175  0.3154  0.5000
Pr  0.8175  0.6846  0.0000
Ni  0.0000  0.0000  0.2500
Ni  0.0000  0.0000  0.7500
Rh  0.5000  0.5000  0.2500
Rh  0.5000  0.5000  0.7500

---

(8)
Starting from the GGA-PBE geometry in Alexandria, the PXRD pattern of La4Cd3Ag was computed for λ = 1.5418 Å (Cu Kα).

Top 11 peaks for 10° ≤ 2θ ≤ 90°, by angle:
d = 3.918 Å, 22.70°, I = 1
d = 2.765 Å, 32.38°, I = 100
d = 1.959 Å, 46.35°, I = 12
d = 1.947 Å, 46.64°, I = 6
d = 1.598 Å, 57.70°, I = 25
d = 1.593 Å, 57.88°, I = 12
d = 1.385 Å, 67.64°, I = 4
d = 1.381 Å, 67.86°, I = 7
d = 1.239 Å, 76.99°, I = 10
d = 1.232 Å, 77.45°, I = 5
d = 1.129 Å, 86.16°, I = 4

Cell and atoms:
abc: 3.9177 3.9177 15.5795
angles: 90.00 90.00 90.00
Sites, in units of the cell vectors:
La  0.0000  0.0000  0.1190
La  0.0000  0.0000  0.3730
La  0.0000  0.0000  0.6270
La  0.0000  0.0000  0.8810
Cd  0.5000  0.5000  0.2477
Cd  0.5000  0.5000  0.5000
Cd  0.5000  0.5000  0.7523
Ag  0.5000  0.5000  0.0000